Starting from a crystal structure in the Materials Project, relaxed with GGA-PBE, the powder diffractogram of SrLaMg14 was computed for Cu Kα (λ = 1.5418 Å).

Cell: 6.816 6.816 10.418 Å, 90.00 90.00 120.00°
Sites, in units of the cell vectors:
Sr (0.000, 0.000, 0.000)
La (0.000, 0.000, 0.500)
Mg (0.008, 0.504, 0.000)
Mg (0.008, 0.504, 0.500)
Mg (0.175, 0.350, 0.252)
Mg (0.175, 0.350, 0.748)
Mg (0.175, 0.825, 0.252)
Mg (0.175, 0.825, 0.748)
Mg (0.496, 0.504, 0.000)
Mg (0.496, 0.504, 0.500)
Mg (0.496, 0.992, 0.000)
Mg (0.496, 0.992, 0.500)
Mg (0.650, 0.825, 0.252)
Mg (0.650, 0.825, 0.748)
Mg (0.667, 0.333, 0.251)
Mg (0.667, 0.333, 0.749)

Most intense lines, 2θ = 5–70°, by intensity:
hkl	2theta	I (rel.)
2 0 2	34.9	100
1 0 0	15.0	39
1 0 2	22.8	38
2 0 0	30.3	30
0 0 4	34.4	23
2 2 4	65.5	19
2 2 0	53.8	18
2 0 4	46.5	18
2 0 6	62.0	18
1 1 2	31.4	15